(1)
For Na2Ge2Se5, a DFT-relaxed cell (PBE, the Materials Project) gives the simulated X-ray diffraction stick pattern in this record (CuKα).
Peak positions follow from Bragg's law for the DFT cell and can differ from measured ones.

Top 12 peaks for 2θ = 15–90°, most intense first:
(hkl), 2θ/deg, intensity
0 2 0, 28.4, 100
4 0 1, 25.9, 75
1 1 3, 28.2, 74
1 1 1, 17.3, 64
1 1 2, 22.0, 61
4 0 0, 24.6, 52
7 1 0, 46.4, 44
2 0 4, 34.0, 44
0 3 3, 49.9, 39
0 1 3, 27.6, 39
2 1 3, 30.3, 37
4 0 5, 47.4, 33

Cell and atoms:
a b c (Å): 14.4240 6.2755 11.3375
angles (deg): 90.00 90.00 90.00
Space group Pna2_1 (No. 33)
Inequivalent atoms, fractional coordinates:
Na (0.0373, 0.0029, 0.0000) x4
Na (0.0567, 0.5072, 0.7445) x4
Ge (0.1550, 0.4589, 0.4518) x4
Ge (0.2051, 0.9671, 0.6445) x4
Se (0.0017, 0.5021, 0.9940) x4
Se (0.0614, 0.0040, 0.7330) x4
Se (0.1643, 0.6056, 0.2547) x4
Se (0.2159, 0.1007, 0.4439) x4
Se (0.2445, 0.1025, 0.1047) x4

---

(2)
For Na2Ge2Se5, a DFT-relaxed cell (PBE, the Materials Project) gives the simulated X-ray diffraction stick pattern in this record (CuKα).
Peak positions follow from Bragg's law for the DFT cell and can differ from measured ones.

Top 12 peaks for 2θ = 15–90°, most intense first:
(hkl), 2θ/deg, intensity
3 5 3, 45.5, 100
0 2 3, 27.0, 94
3 3 0, 27.7, 69
3 3 1, 28.8, 65
0 2 2, 20.3, 65
2 2 0, 18.4, 47
4 2 1, 30.5, 32
0 0 6, 48.5, 32
6 0 0, 40.0, 29
1 3 2, 25.8, 28
0 0 4, 31.7, 26
3 1 0, 20.7, 25

Cell and atoms:
a b c (Å): 13.5203 13.8147 11.2660
angles (deg): 90.00 90.00 90.00
Space group Cmcm (No. 63)
Inequivalent atoms, fractional coordinates:
Na (0.1450, 0.0000, 0.0000) x8
Na (0.1743, 0.2498, 0.2500) x8
Ge (0.0000, 0.2552, 0.5801) x8
Ge (0.1400, 0.4536, 0.7500) x8
Se (0.0000, 0.1502, 0.7500) x4
Se (0.0000, 0.1569, 0.0874) x8
Se (0.0000, 0.4419, 0.2500) x4
Se (0.1492, 0.3513, 0.5760) x16
Se (0.2187, 0.0490, 0.7500) x8

---

(3)
For Na9SmGe4Se12, a DFT-relaxed cell (PBE, the Materials Project) gives the simulated X-ray diffraction stick pattern in this record (CuKα).
Peak positions follow from Bragg's law for the DFT cell and can differ from measured ones.

Top 12 peaks for 2θ = 15–90°, most intense first:
(hkl), 2θ/deg, intensity
3 3 -1, 29.3, 100
2 0 2, 29.3, 52
5 3 1, 43.5, 44
2 0 -2, 23.2, 25
1 3 -3, 40.3, 24
0 6 0, 43.7, 21
2 6 2, 53.5, 17
4 2 -2, 33.2, 12
6 0 -2, 40.0, 12
2 6 -2, 50.0, 11
5 3 -3, 46.8, 10
1 3 1, 26.0, 10

Cell and atoms:
a b c (Å): 14.3136 12.4310 8.0129
angles (deg): 90.00 105.34 90.00
Space group C2 (No. 5)
Inequivalent atoms, fractional coordinates:
Na (0.0000, 0.0000, 0.0000) x2
Na (0.0000, 0.1406, 0.5000) x2
Na (0.0000, 0.4934, 0.5000) x2
Na (0.2468, 0.1643, 0.2475) x4
Na (0.2475, 0.3188, 0.7469) x4
Na (0.2490, 0.9708, 0.7476) x4
Sm (0.0000, 0.6400, 0.0000) x2
Ge (0.0269, 0.3150, 0.8668) x4
Ge (0.0314, 0.8205, 0.3697) x4
Se (0.1099, 0.8110, 0.8736) x4
Se (0.1136, 0.3198, 0.3704) x4
Se (0.1225, 0.4810, 0.8832) x4
Se (0.1223, 0.6578, 0.3620) x4
Se (0.1267, 0.9758, 0.3760) x4
Se (0.1282, 0.1620, 0.8759) x4